1.
This entry pairs a crystal structure of LiNiMoOs with its simulated powder diffraction line list. Radiation: Cu Kα. Structure: a crystal structure in Alexandria, relaxed with GGA-PBE.
Kinematic intensities with the Lorentz-polarization factor, no thermal factor.

Peak list (6 most intense, 15° ≤ 2θ ≤ 90°, most intense first)
2θ/deg, d_spacing, I/Imax, hkl
42.80, 2.113, 100, 2 2 0
25.82, 3.450, 47, 1 1 1
78.39, 1.220, 33, 4 2 2
50.66, 1.802, 23, 3 1 1
29.90, 2.988, 23, 2 0 0
62.13, 1.494, 16, 4 0 0

Cell and atoms:
Lattice parameters (Å, degrees): 5.9761 5.9761 5.9761 90.00 90.00 90.00
Space group F-43m (No. 216)
Symmetry-distinct sites (fractional):
Li  0.0000  0.0000  0.0000 [4 per cell]
Ni  0.2500  0.2500  0.7500 [4 per cell]
Mo  0.0000  0.0000  0.5000 [4 per cell]
Os  0.2500  0.2500  0.2500 [4 per cell]


2.
This entry pairs a crystal structure of Ac2La2Ho7 with its simulated powder diffraction line list. Radiation: Cu Kα. Structure: a crystal structure in Alexandria, relaxed with GGA-PBE.
Kinematic intensities with the Lorentz-polarization factor, no thermal factor.

Peak list (6 most intense, 15° ≤ 2θ ≤ 90°, most intense first)
2θ/deg, d_spacing, I/Imax, hkl
32.18, 2.782, 100, 1 2 3
29.98, 2.980, 36, 0 4 0
34.17, 2.624, 22, 0 3 5
26.55, 3.358, 21, 0 1 5
54.64, 1.680, 20, 1 6 3
48.81, 1.866, 20, 2 0 0

Cell and atoms:
Lattice parameters (Å, degrees): 3.7347 11.9204 17.4974 90.00 90.00 90.00
Space group Immm (No. 71)
Symmetry-distinct sites (fractional):
Ac  0.0000  0.0000  0.1909 [4 per cell]
La  0.0000  0.2540  0.0000 [4 per cell]
Ho  0.0000  0.2338  0.3305 [8 per cell]
Ho  0.0000  0.5000  0.1131 [4 per cell]
Ho  0.0000  0.5000  0.5000 [2 per cell]


3.
This entry pairs a crystal structure of Mg7PdPb2 with its simulated powder diffraction line list. Radiation: Cu Kα. Structure: a crystal structure in Alexandria, relaxed with GGA-PBE.
Kinematic intensities with the Lorentz-polarization factor, no thermal factor.

Peak list (6 most intense, 15° ≤ 2θ ≤ 90°, most intense first)
2θ/deg, d_spacing, I/Imax, hkl
22.66, 3.924, 100, 1 1 -2
25.29, 3.522, 79, 3 1 0
21.21, 4.190, 61, 0 2 0
32.82, 2.729, 52, 4 2 -2
38.06, 2.364, 47, 1 3 -2
24.76, 3.596, 37, 4 0 -2

Cell and atoms:
Lattice parameters (Å, degrees): 14.7015 8.3791 9.4559 90.00 127.62 90.00
Space group C2/c (No. 15)
Symmetry-distinct sites (fractional):
Mg  0.0000  0.1596  0.2500 [4 per cell]
Mg  0.0892  0.3655  0.0931 [8 per cell]
Mg  0.1300  0.2511  0.8004 [8 per cell]
Mg  0.2025  0.3896  0.5268 [8 per cell]
Pd  0.0000  0.4974  0.2500 [4 per cell]
Pb  0.1508  0.0119  0.0904 [8 per cell]


4.
This entry pairs a crystal structure of Ti3ZnPd5 with its simulated powder diffraction line list. Radiation: Cu Kα. Structure: a crystal structure in Alexandria, relaxed with GGA-PBE.
Kinematic intensities with the Lorentz-polarization factor, no thermal factor.

Peak list (6 most intense, 15° ≤ 2θ ≤ 90°, most intense first)
2θ/deg, d_spacing, I/Imax, hkl
41.29, 2.187, 100, 2 0 4
34.56, 2.595, 66, 2 2 0
36.92, 2.435, 44, 2 1 3
52.05, 1.757, 21, 4 1 1
66.52, 1.406, 20, 4 2 4
57.67, 1.598, 17, 4 1 3

Cell and atoms:
Lattice parameters (Å, degrees): 7.3409 7.3409 10.8893 90.00 90.00 90.00
Space group I4/mcm (No. 140)
Symmetry-distinct sites (fractional):
Ti  0.0000  0.0000  0.2500 [4 per cell]
Ti  0.1124  0.3876  0.0000 [8 per cell]
Zn  0.0000  0.5000  0.2500 [4 per cell]
Pd  0.0000  0.0000  0.0000 [4 per cell]
Pd  0.2049  0.2951  0.3670 [16 per cell]


5.
This entry pairs a crystal structure of LiCaTlTeSeF with its simulated powder diffraction line list. Radiation: Cu Kα. Structure: a crystal structure in Alexandria, relaxed with GGA-PBE.
Kinematic intensities with the Lorentz-polarization factor, no thermal factor.

Peak list (6 most intense, 15° ≤ 2θ ≤ 90°, most intense first)
2θ/deg, d_spacing, I/Imax, hkl
26.41, 3.375, 100, 1 1 0
33.38, 2.684, 64, 0 1 2
33.12, 2.705, 45, 1 0 2
29.11, 3.067, 44, 1 1 -1
23.77, 3.743, 43, 0 1 1
31.09, 2.877, 40, 1 0 -2

Cell and atoms:
Lattice parameters (Å, degrees): 5.0828 4.5223 6.6857 90.00 93.85 90.00
Space group Pm (No. 6)
Symmetry-distinct sites (fractional):
Li  0.0000  0.0000  0.0000 [1 per cell]
Ca  0.5640  0.5000  0.9886 [1 per cell]
Tl  0.4451  0.0000  0.4896 [1 per cell]
Te  0.0477  0.5000  0.6915 [1 per cell]
Se  0.0889  0.5000  0.2082 [1 per cell]
F  0.6206  0.0000  0.9853 [1 per cell]


6.
This entry pairs a crystal structure of SmNbTc with its simulated powder diffraction line list. Radiation: Cu Kα. Structure: a crystal structure in Alexandria, relaxed with GGA-PBE.
Kinematic intensities with the Lorentz-polarization factor, no thermal factor.

Peak list (6 most intense, 15° ≤ 2θ ≤ 90°, most intense first)
2θ/deg, d_spacing, I/Imax, hkl
34.03, 2.634, 100, 1 1 2
36.67, 2.451, 55, 2 2 0
18.10, 4.902, 43, 1 1 0
50.89, 1.794, 35, 3 1 2
25.70, 3.466, 35, 2 0 0
32.24, 2.777, 28, 2 1 1

Cell and atoms:
Lattice parameters (Å, degrees): 6.9319 6.9319 6.2476 90.00 90.00 90.00
Space group P4_12_12 (No. 92)
Symmetry-distinct sites (fractional):
Sm  0.2451  0.2451  0.0000 [4 per cell]
Nb  0.2008  0.7992  0.7500 [4 per cell]
Tc  0.0455  0.0455  0.5000 [4 per cell]